(1)
For Li2Cu5Rh2, the PBE geometry in Alexandria gives the simulated XRD peak list in this record (Cu Kα).
Peak positions follow from Bragg's law for the DFT cell and can differ from measured ones.

Peak list (10 most intense, 15 to 90 degrees two-theta, in order of rising 2θ)
2θ 21.53, intensity 100
2θ 39.16, intensity 33
2θ 40.24, intensity 32
2θ 43.21, intensity 51
2θ 43.74, intensity 56
2θ 43.89, intensity 77
2θ 45.34, intensity 14
2θ 46.33, intensity 54
2θ 48.34, intensity 31
2θ 69.60, intensity 18

Crystal structure
a b c (Å): 4.532 4.532 6.538
angles (deg): 104.62 104.62 67.62
Element x y z (fractional)
Li (0.000, 0.000, 0.000)
Li (0.031, 0.031, 0.489)
Cu (0.082, 0.574, 0.676)
Cu (0.367, 0.367, 0.036)
Cu (0.487, 0.966, 0.267)
Cu (0.574, 0.082, 0.676)
Cu (0.966, 0.487, 0.267)
Rh (0.523, 0.523, 0.460)
Rh (0.640, 0.640, 0.888)

---

(2)
For ZrZn11Tc, the PBE geometry in Alexandria gives the simulated XRD peak list in this record (Cu Kα).
Peak positions follow from Bragg's law for the DFT cell and can differ from measured ones.

Peak list (10 most intense, 15 to 90 degrees two-theta, in order of rising 2θ)
2θ 35.56, intensity 28
2θ 39.76, intensity 41
2θ 39.96, intensity 33
2θ 40.70, intensity 49
2θ 41.13, intensity 100
2θ 42.28, intensity 23
2θ 44.93, intensity 44
2θ 45.08, intensity 23
2θ 45.24, intensity 29
2θ 73.38, intensity 25

Crystal structure
a b c (Å): 6.885 6.885 6.514
angles (deg): 98.01 98.01 135.48
Element x y z (fractional)
Zr (0.000, 0.000, 0.000)
Zn (0.000, 0.500, 0.000)
Zn (0.014, 0.671, 0.647)
Zn (0.286, 0.500, 0.788)
Zn (0.329, 0.986, 0.353)
Zn (0.500, 0.000, 0.000)
Zn (0.500, 0.286, 0.788)
Zn (0.500, 0.500, 0.500)
Zn (0.500, 0.714, 0.212)
Zn (0.671, 0.014, 0.647)
Zn (0.714, 0.500, 0.212)
Zn (0.986, 0.329, 0.353)
Tc (0.000, 0.000, 0.500)